# LiEr4H4Cl4
Calculated powder X-ray diffraction pattern, a wavelength of 1.5418 Å. Input: the PBE geometry in the Materials Project.

Atomic structure:
```
data_LiEr4H4Cl4
_chemical_formula_sum 'Li3 Er12 H12 Cl12'
_symmetry_space_group_name_H-M 'R -3 m'
_symmetry_Int_Tables_number 166
_symmetry_space_group_name_Hall '-R 3 2"'
_cell_length_a 3.6957
_cell_length_b 3.6957
_cell_length_c 56.1615
_cell_angle_alpha 90.00
_cell_angle_beta 90.00
_cell_angle_gamma 120.00
loop_
_atom_site_label
_atom_site_fract_x
_atom_site_fract_y
_atom_site_fract_z
Li1 0.0000 0.0000 0.0000
Er1 0.0000 0.0000 0.1086
Er2 0.0000 0.0000 0.3931
H1 0.0000 0.0000 0.0681
H2 0.0000 0.0000 0.4318
Cl1 0.0000 0.0000 0.1949
Cl2 0.0000 0.0000 0.3074
```

Main lines, in order of rising 2θ (10 to 80 degrees two-theta):
- 28.61°, rel. 1000
- 30.70°, rel. 171
- 32.19°, rel. 951
- 35.89°, rel. 636
- 38.47°, rel. 156
- 42.84°, rel. 183
- 45.45°, rel. 151
- 49.32°, rel. 361
- 53.95°, rel. 128
- 58.01°, rel. 281
- 60.12°, rel. 256
- 64.23°, rel. 203